This entry pairs a crystal structure of Hf6BiPb2 with its simulated powder diffraction line list. Radiation: CuKα. Structure: the GGA-PBE geometry in Alexandria.
Neutral-atom scattering factors, no anomalous dispersion.

Cell and atoms:
abc: 8.779 9.204 5.099
angles: 90.00 90.00 90.00
Space group Pnnm (No. 58)
Unique sites:
Hf: 0.004 0.161 0.000 [4 per cell]
Hf: 0.162 0.588 0.500 [4 per cell]
Hf: 0.164 0.925 0.500 [4 per cell]
Bi: 0.000 0.500 0.000 [2 per cell]
Pb: 0.170 0.255 0.500 [4 per cell]

Top 8 peaks for 10 to 80 degrees two-theta, low angle first:
two_theta	Rel. int.	index
34.1	18	0 3 1
35.2	51	0 0 2
35.4	100	3 0 1
35.7	97	2 3 0
51.0	24	2 3 2
63.3	19	3 0 3
63.6	21	6 0 0
64.3	23	1 6 1